No. 1
ZnHg3: simulated XRD peak list (Cu Kα, 1.54184 Å), based on a cell relaxed with GGA-PBE.

Structural model:
Cell: 4.563 4.563 4.563 Å, 90.00 90.00 90.00°
Element x y z (fractional)
Zn (0.000, 0.000, 0.000)
Hg (0.000, 0.500, 0.500)
Hg (0.500, 0.000, 0.500)
Hg (0.500, 0.500, 0.000)

Peak list (10 most intense, 10 to 80 degrees two-theta, in order of rising 2θ)
2θ/deg  I (rel.)  hkl
19.45  10.4  1 0 0
27.65  9.2  1 1 0
34.03  100.0  1 1 1
39.50  50.3  2 0 0
44.39  5.4  2 1 0
48.89  4.1  2 1 1
57.09  34.6  2 2 0
60.91  2.8  3 0 0
68.16  40.9  3 1 1
71.64  11.8  2 2 2



No. 2
SrTiO3: simulated XRD peak list (Cu Kα, 1.54184 Å), based on a cell relaxed with GGA-PBE.

Structural model:
Cell: 5.629 5.629 13.886 Å, 90.00 90.00 120.00°
Element x y z (fractional)
Sr (0.000, 0.000, 0.250)
Sr (0.000, 0.000, 0.750)
Sr (0.333, 0.667, 0.101)
Sr (0.333, 0.667, 0.399)
Sr (0.667, 0.333, 0.601)
Sr (0.667, 0.333, 0.899)
Ti (0.000, 0.000, 0.000)
Ti (0.000, 0.000, 0.500)
Ti (0.333, 0.667, 0.654)
Ti (0.333, 0.667, 0.846)
Ti (0.667, 0.333, 0.154)
Ti (0.667, 0.333, 0.346)
O (0.022, 0.511, 0.750)
O (0.165, 0.329, 0.582)
O (0.165, 0.329, 0.918)
O (0.165, 0.835, 0.582)
O (0.165, 0.835, 0.918)
O (0.329, 0.165, 0.082)
O (0.329, 0.165, 0.418)
O (0.489, 0.511, 0.750)
O (0.489, 0.978, 0.750)
O (0.511, 0.022, 0.250)
O (0.511, 0.489, 0.250)
O (0.671, 0.835, 0.582)
O (0.671, 0.835, 0.918)
O (0.835, 0.165, 0.082)
O (0.835, 0.165, 0.418)
O (0.835, 0.671, 0.082)
O (0.835, 0.671, 0.418)
O (0.978, 0.489, 0.250)

Peak list (10 most intense, 10 to 80 degrees two-theta, in order of rising 2θ)
2θ/deg  I (rel.)  hkl
26.56  24.9  1 0 3
31.64  75.5  1 0 4
31.79  100.0  1 1 0
39.17  13.5  2 0 2
41.89  31.2  2 0 3
45.47  53.9  2 0 4
49.61  12.6  1 0 7
56.59  47.5  3 0 0
66.44  23.5  2 2 0
75.46  12.3  3 1 4



No. 3
Ag: simulated XRD peak list (Cu Kα, 1.54184 Å), based on a cell relaxed with GGA-PBE.

Structural model:
Cell: 2.946 2.946 21.614 Å, 90.00 90.00 120.00°
Element x y z (fractional)
Ag (0.000, 0.000, 0.000)
Ag (0.000, 0.000, 0.222)
Ag (0.000, 0.000, 0.778)
Ag (0.333, 0.667, 0.444)
Ag (0.333, 0.667, 0.667)
Ag (0.333, 0.667, 0.889)
Ag (0.667, 0.333, 0.111)
Ag (0.667, 0.333, 0.333)
Ag (0.667, 0.333, 0.556)

Peak list (10 most intense, 10 to 80 degrees two-theta, in order of rising 2θ)
2θ/deg  I (rel.)  hkl
35.43  37.2  1 0 1
36.17  15.0  0 1 2
37.45  52.7  0 0 9
39.04  100.0  1 0 4
41.08  85.9  0 1 5
49.11  14.3  0 1 8
63.11  31.7  1 1 0
67.21  18.7  1 0 13
71.42  15.4  0 1 14
75.75  36.7  1 1 9



Which formula does entry 1 have? ZnHg3